# 1
For HoNi12Sn6, a DFT-relaxed cell (PBE, Alexandria) gives the calculated powder diffractogram in this record (Cu Kα (weighted mean of Kα1 and Kα2)).
Neutral-atom scattering factors, no anomalous dispersion.

Largest 10 diffraction maxima, by angle, 10° ≤ 2θ ≤ 90°:
d = 3.319 Å, 26.9°, rel. 91
d = 3.260 Å, 27.4°, rel. 41
d = 2.798 Å, 32.0°, rel. 66
d = 2.631 Å, 34.1°, rel. 47
d = 2.515 Å, 35.7°, rel. 61
d = 2.173 Å, 41.6°, rel. 96
d = 2.107 Å, 42.9°, rel. 77
d = 2.033 Å, 44.6°, rel. 100
d = 1.953 Å, 46.5°, rel. 68
d = 1.742 Å, 52.5°, rel. 66

Cell and atoms:
```
HoNi12Sn6
1.0
5.4526 3.1481 3.0033
-5.4526 3.1481 3.0033
0.0000 -6.2961 3.0033
Ho Ni Sn
1 12 6
Direct
0.0000 0.0000 0.0000
0.1070 0.3457 0.3457
0.1105 0.5000 0.8895
0.1105 0.8895 0.5000
0.3457 0.1070 0.3457
0.3457 0.3457 0.1070
0.5000 0.1105 0.8895
0.5000 0.8895 0.1105
0.6543 0.6543 0.8930
0.6543 0.8930 0.6543
0.8895 0.1105 0.5000
0.8895 0.5000 0.1105
0.8930 0.6543 0.6543
0.2719 0.2719 0.6908
0.2719 0.6908 0.2719
0.3092 0.7281 0.7281
0.6908 0.2719 0.2719
0.7281 0.3092 0.7281
0.7281 0.7281 0.3092
```

***

# 2
For PuGa8Ni4, a DFT-relaxed cell (PBE, Alexandria) gives the calculated powder diffractogram in this record (Cu Kα (weighted mean of Kα1 and Kα2)).
Neutral-atom scattering factors, no anomalous dispersion.

Largest 10 diffraction maxima, by angle, 10° ≤ 2θ ≤ 90°:
d = 3.090 Å, 28.9°, rel. 39
d = 2.563 Å, 35.0°, rel. 22
d = 2.515 Å, 35.7°, rel. 55
d = 2.205 Å, 40.9°, rel. 64
d = 2.175 Å, 41.5°, rel. 100
d = 2.165 Å, 41.7°, rel. 55
d = 1.965 Å, 46.2°, rel. 21
d = 1.392 Å, 67.2°, rel. 24
d = 1.258 Å, 75.6°, rel. 21
d = 1.252 Å, 76.0°, rel. 25

Cell and atoms:
```
PuGa8Ni4
1.0
-4.3304 4.3304 2.5627
4.3304 -4.3304 2.5627
4.3304 4.3304 -2.5627
Pu Ga Ni
1 8 4
Direct
0.0000 0.0000 0.0000
0.0000 0.3429 0.3429
0.0000 0.6571 0.6571
0.2789 0.5000 0.7789
0.3429 0.0000 0.3429
0.5000 0.2789 0.7789
0.5000 0.7211 0.2211
0.6571 0.0000 0.6571
0.7211 0.5000 0.2211
0.0000 0.0000 0.5000
0.0000 0.5000 0.0000
0.5000 0.0000 0.0000
0.5000 0.5000 0.5000
```

***

# 3
For Lu2PbSe4, a DFT-relaxed cell (PBE, Alexandria) gives the calculated powder diffractogram in this record (Cu Kα (weighted mean of Kα1 and Kα2)).
Neutral-atom scattering factors, no anomalous dispersion.

Largest 10 diffraction maxima, by angle, 10° ≤ 2θ ≤ 90°:
d = 3.673 Å, 24.2°, rel. 100
d = 3.422 Å, 26.0°, rel. 57
d = 3.035 Å, 29.4°, rel. 61
d = 2.919 Å, 30.6°, rel. 30
d = 2.876 Å, 31.1°, rel. 31
d = 2.516 Å, 35.7°, rel. 33
d = 2.504 Å, 35.9°, rel. 68
d = 2.468 Å, 36.4°, rel. 37
d = 2.069 Å, 43.7°, rel. 58
d = 2.030 Å, 44.6°, rel. 42

Cell and atoms:
```
Lu2PbSe4
1.0
12.7241 0.0000 0.0000
0.0000 4.0592 0.0000
0.0000 0.0000 14.6953
Lu Pb Se
8 4 16
Direct
0.0566 0.2500 0.1150
0.0876 0.2500 0.5912
0.4124 0.7500 0.0912
0.4434 0.7500 0.6150
0.5566 0.2500 0.3850
0.5876 0.2500 0.9088
0.9124 0.7500 0.4088
0.9434 0.7500 0.8850
0.2445 0.7500 0.8256
0.2555 0.2500 0.3256
0.7445 0.7500 0.6744
0.7555 0.2500 0.1744
0.0415 0.7500 0.7157
0.0910 0.2500 0.9274
0.1240 0.7500 0.4632
0.2019 0.7500 0.1639
0.2981 0.2500 0.6639
0.3760 0.2500 0.9632
0.4090 0.7500 0.4274
0.4585 0.2500 0.2157
0.5415 0.7500 0.7843
0.5910 0.2500 0.5726
0.6240 0.7500 0.0368
0.7019 0.7500 0.3361
0.7981 0.2500 0.8361
0.8760 0.2500 0.5368
0.9090 0.7500 0.0726
0.9585 0.2500 0.2843
```

***

# 4
For Pr4Nd3Dy, a DFT-relaxed cell (PBE, Alexandria) gives the calculated powder diffractogram in this record (Cu Kα (weighted mean of Kα1 and Kα2)).
Neutral-atom scattering factors, no anomalous dispersion.

Largest 10 diffraction maxima, by angle, 10° ≤ 2θ ≤ 90°:
d = 3.004 Å, 29.7°, rel. 100
d = 2.601 Å, 34.5°, rel. 51
d = 1.839 Å, 49.6°, rel. 36
d = 1.569 Å, 58.9°, rel. 43
d = 1.502 Å, 61.8°, rel. 12
d = 1.300 Å, 72.7°, rel. 4
d = 1.194 Å, 80.5°, rel. 15
d = 1.193 Å, 80.5°, rel. 3
d = 1.164 Å, 83.0°, rel. 14
d = 1.162 Å, 83.1°, rel. 3

Cell and atoms:
```
Pr4Nd3Dy
1.0
10.4149 0.0000 0.0000
0.0000 7.3568 0.0000
0.0000 0.0000 7.3516
Pr Nd Dy
8 6 2
Direct
0.0000 0.0000 0.0000
0.0000 0.5000 0.5000
0.2500 0.2480 0.2500
0.2500 0.7520 0.7500
0.5000 0.0000 0.5000
0.5000 0.5000 0.0000
0.7500 0.2480 0.2500
0.7500 0.7520 0.7500
0.0000 0.5000 0.0000
0.2500 0.2480 0.7500
0.2500 0.7520 0.2500
0.5000 0.5000 0.5000
0.7500 0.2480 0.7500
0.7500 0.7520 0.2500
0.0000 0.0000 0.5000
0.5000 0.0000 0.0000
```